No. 1
For Li2Mn3B3O9, a crystal structure in the Materials Project, relaxed with PBE+U gives the theoretical PXRD pattern in this record (Cu Kα, 1.54184 Å).

Peak list (12 most intense, 2θ = 15–90°, low angle first)
- 21.46°, intensity 100
- 21.70°, intensity 56
- 30.76°, intensity 13
- 35.56°, intensity 52
- 35.81°, intensity 33
- 36.08°, intensity 18
- 37.49°, intensity 12
- 37.84°, intensity 25
- 37.96°, intensity 13
- 47.54°, intensity 18
- 52.89°, intensity 13
- 58.23°, intensity 14

Structure:
```
34
Lattice="6.3382 0.0000 0.0000 -0.1179 8.1927 0.0000 -3.0983 -4.0740 7.1973" Properties=species:S:1:pos:R:3 pbc="T T T"
Li 0.0000 0.0000 0.0000
Li 0.0255 4.4997 1.9116
Li 3.2588 4.5137 1.9069
Li 3.3037 -0.2356 4.1620
Mn -1.5464 5.3943 4.6871
Mn -1.4386 1.5416 6.6342
Mn 1.6392 1.5066 2.0787
Mn 1.5639 5.4139 4.6455
Mn 1.6826 1.3578 6.3854
Mn 4.8247 1.6693 2.1341
B 0.1007 2.7955 4.3494
B 1.5756 6.8171 2.0229
B 0.1785 -1.2396 6.9121
B 3.1874 2.7984 4.4249
B 4.7517 6.8616 1.9880
B 3.2545 -1.2473 6.8500
O 0.0682 2.7273 1.0215
O 0.0208 1.7017 3.5202
O 0.0028 4.0942 3.8693
O 1.5240 -0.3133 1.1606
O 1.6262 5.5227 1.4908
O 0.1187 -2.2323 5.9821
O 0.2738 2.6009 5.7305
O 0.2029 0.1030 6.5099
O 1.8175 -1.1915 3.3801
O 3.2755 2.5964 1.0820
O 3.2105 1.6606 3.6462
O 3.2264 4.0655 3.8947
O 4.9109 -0.1411 1.2943
O 4.8433 5.6449 1.3013
O 3.1268 2.6460 5.8404
O 3.2793 -2.3807 6.0581
O 3.1954 0.0144 6.2274
O 4.7237 -1.3069 3.3567
```

No. 2
For LiMn2B8O14, a crystal structure in the Materials Project, relaxed with PBE+U gives the theoretical PXRD pattern in this record (Cu Kα, 1.54184 Å).

Peak list (12 most intense, 2θ = 15–90°, low angle first)
- 22.78°, intensity 25
- 25.89°, intensity 24
- 27.57°, intensity 29
- 30.65°, intensity 92
- 32.50°, intensity 100
- 37.55°, intensity 53
- 37.96°, intensity 34
- 46.53°, intensity 30
- 46.70°, intensity 62
- 47.89°, intensity 58
- 53.70°, intensity 36
- 83.09°, intensity 23

Structure:
```
25
Lattice="5.2533 0.0000 0.0000 0.0000 5.4992 3.4409 0.0000 -5.4992 3.4409" Properties=species:S:1:pos:R:3 pbc="T T T"
Li 0.0000 0.0000 0.0000
Mn 0.0000 0.0000 2.3225
Mn 2.6266 0.0000 5.1594
B 0.0000 -1.3551 5.1560
B 0.0000 1.3551 5.1560
B 1.3325 -3.1999 3.7725
B 1.3325 3.1999 3.7725
B 2.6266 -1.3100 2.2985
B 2.6266 1.3100 2.2985
B 3.9208 -3.1999 3.7725
B 3.9208 3.1999 3.7725
O 0.0000 -2.3448 3.9656
O 0.0000 0.0000 4.5451
O 0.0000 2.3448 3.9656
O 1.1758 -4.0321 2.5746
O 1.1758 4.0322 2.5746
O 1.4477 -1.5050 1.5186
O 1.4477 1.5050 1.5186
O 2.6266 -2.3488 3.5638
O 2.6266 0.0000 2.9986
O 2.6266 2.3488 3.5638
O 3.8056 -1.5050 1.5186
O 3.8056 1.5050 1.5186
O 4.0775 -4.0321 2.5746
O 4.0775 4.0322 2.5746
```

No. 3
For Li2Mn3B3O9, a crystal structure in the Materials Project, relaxed with PBE+U gives the theoretical PXRD pattern in this record (Cu Kα, 1.54184 Å).

Peak list (12 most intense, 2θ = 15–90°, low angle first)
- 20.00°, intensity 17
- 20.15°, intensity 83
- 20.83°, intensity 23
- 22.09°, intensity 43
- 22.78°, intensity 65
- 33.87°, intensity 30
- 34.11°, intensity 23
- 34.42°, intensity 100
- 37.71°, intensity 20
- 39.97°, intensity 19
- 40.65°, intensity 25
- 51.40°, intensity 22

Structure:
```
34
Lattice="5.8605 0.0000 0.0000 -1.7216 8.0481 0.0000 -2.0174 -3.9606 7.9403" Properties=species:S:1:pos:R:3 pbc="T T T"
Li -0.8452 2.2256 1.8440
Li -1.0585 5.8755 3.5154
Li 3.1800 -1.7879 4.4249
Li 2.9666 1.8620 6.0962
Mn -1.6053 -0.3947 7.0208
Mn -0.2154 -3.2275 6.4757
Mn 0.2371 3.3307 4.5198
Mn 1.8844 0.7569 3.4204
Mn 2.3369 7.3150 1.4646
Mn 3.7268 4.4822 0.9195
B -1.0506 0.7273 4.2155
B -0.6153 7.2079 0.8489
B 0.8566 4.7274 1.8377
B 1.2648 -0.6398 6.1025
B 2.7367 -3.1203 7.0913
B 3.1721 3.3602 3.7248
O -1.6219 6.5534 1.5923
O -1.8997 4.2851 4.4043
O -2.6401 3.2123 7.4257
O -1.1963 0.9719 5.5534
O 0.0114 3.9018 1.1014
O -0.1443 1.5185 3.4898
O 0.2840 -1.3356 6.8263
O 2.1207 -0.1965 1.5572
O 0.7118 4.9220 3.1810
O 1.4096 -0.8344 4.7592
O 0.0008 4.2841 6.3830
O 1.8375 5.4231 1.1139
O 2.2657 2.5691 4.4505
O 2.1101 0.1858 6.8389
O 3.3177 3.1157 2.3869
O 4.7615 0.8753 0.5146
O 4.0211 -0.1975 3.5359
O 3.7433 -2.4658 6.3479
```

No. 4
For Li2Mn3B3O9, a crystal structure in the Materials Project, relaxed with PBE+U gives the theoretical PXRD pattern in this record (Cu Kα, 1.54184 Å).

Peak list (12 most intense, 2θ = 15–90°, low angle first)
- 20.27°, intensity 100
- 20.71°, intensity 30
- 21.92°, intensity 56
- 22.87°, intensity 82
- 33.90°, intensity 29
- 34.13°, intensity 40
- 34.35°, intensity 27
- 34.46°, intensity 96
- 37.63°, intensity 28
- 39.63°, intensity 27
- 40.51°, intensity 24
- 40.66°, intensity 38

Structure:
```
34
Lattice="6.1416 0.0000 0.0000 -1.2973 7.7807 0.0000 -1.9893 -4.0708 7.8312" Properties=species:S:1:pos:R:3 pbc="T T T"
Li 0.0000 0.0000 0.0000
Li -2.4968 1.3920 6.8882
Li 0.3762 -0.1582 5.1474
Li 2.6410 3.7406 2.4750
Mn -1.4207 2.7704 4.1438
Mn 1.2738 2.6833 0.0461
Mn 0.8137 6.7074 1.7134
Mn 1.5969 2.6421 5.2253
Mn 2.3277 -1.3853 6.8222
Mn 5.1475 -1.2706 2.6639
B -0.9623 4.0859 1.5430
B 0.5967 1.4279 2.6347
B -0.7280 3.8603 6.8322
B 2.9796 5.3191 0.0259
B 3.0842 0.0885 4.2778
B 4.5939 -2.5822 5.2186
O -0.5048 3.8869 0.2364
O -0.8988 -1.5243 4.6544
O -0.7701 5.3496 2.1282
O 0.2989 0.2507 1.9544
O -1.4773 2.9103 7.4826
O 0.1852 1.5250 3.9895
O -0.2777 3.6352 5.5335
O 1.3158 2.4415 2.0952
O 0.8602 -2.7029 7.4111
O 0.5850 0.1164 7.1665
O 2.2104 -0.7815 4.8442
O 2.6278 5.4396 1.3915
O 3.5674 -0.1748 2.9666
O 1.7786 2.2083 7.2738
O 3.0669 4.0101 4.4825
O 3.3989 1.3022 4.8886
O 4.4861 3.0968 2.1856
O 4.1569 -2.5413 6.5437
```